No. 1
Starting from DFT lattice parameters and positions (GGA-PBE), the X-ray diffraction stick pattern of Tm2ZnIn2 was simulated for CuKα.

Crystal structure
Cell: 5.9456 5.9456 10.6906 Å, 113.76 113.76 45.47°
Fractional positions:
Tm: 0.0156 0.0156 0.3328
Tm: 0.1770 0.1770 0.0974
Tm: 0.8230 0.8230 0.9026
Tm: 0.9844 0.9844 0.6672
Zn: 0.2786 0.2786 0.6710
Zn: 0.7214 0.7214 0.3290
In: 0.3518 0.3518 0.4333
In: 0.4682 0.4682 0.1198
In: 0.5318 0.5318 0.8802
In: 0.6482 0.6482 0.5667

Most intense lines, 2θ from 10° to 90°, in order of falling intensity:
| d (Å) | 2theta | Rel. int. |
| --- | --- | --- |
| 2.802 | 31.94 | 100 |
| 2.369 | 37.99 | 68 |
| 2.297 | 39.22 | 53 |
| 2.732 | 32.78 | 40 |
| 2.546 | 35.25 | 29 |
| 2.851 | 31.37 | 27 |
| 2.895 | 30.88 | 25 |
| 1.759 | 52.00 | 22 |
| 2.404 | 37.41 | 16 |
| 1.383 | 67.73 | 16 |



No. 2
Starting from DFT lattice parameters and positions (GGA-PBE), the X-ray diffraction stick pattern of Tm4ZnIn2 was simulated for CuKα.

Crystal structure
Cell: 5.4867 6.4987 10.3558 Å, 90.00 99.37 90.00°
Fractional positions:
Tm: 0.1378 0.2500 0.1219
Tm: 0.2321 0.7500 0.4331
Tm: 0.3182 0.0055 0.7290
Tm: 0.3182 0.4945 0.7290
Tm: 0.6818 0.5055 0.2710
Tm: 0.6818 0.9945 0.2710
Tm: 0.7679 0.2500 0.5669
Tm: 0.8622 0.7500 0.8781
Zn: 0.0693 0.7500 0.1654
Zn: 0.9307 0.2500 0.8346
In: 0.2263 0.2500 0.4276
In: 0.4100 0.7500 0.0113
In: 0.5900 0.2500 0.9887
In: 0.7737 0.7500 0.5724

Most intense lines, 2θ from 10° to 90°, in order of falling intensity:
| d (Å) | 2theta | Rel. int. |
| --- | --- | --- |
| 2.744 | 32.63 | 100 |
| 2.692 | 33.28 | 72 |
| 2.632 | 34.06 | 49 |
| 2.729 | 32.82 | 48 |
| 2.471 | 36.36 | 39 |
| 1.883 | 48.34 | 19 |
| 1.391 | 67.31 | 19 |
| 2.537 | 35.38 | 18 |
| 1.847 | 49.33 | 17 |
| 1.625 | 56.65 | 16 |



No. 3
Starting from DFT lattice parameters and positions (GGA-PBE), the X-ray diffraction stick pattern of Tm2ZnIn3 was simulated for CuKα.

Crystal structure
Cell: 3.5218 4.7798 8.3917 Å, 90.00 90.00 90.00°
Fractional positions:
Tm: 0.0000 0.0000 0.0000
Tm: 0.0000 0.5000 0.4854
Zn: 0.5000 0.0000 0.3205
In: 0.5000 0.0000 0.6421
In: 0.5000 0.5000 0.1705
In: 0.5000 0.5000 0.8281

Most intense lines, 2θ from 10° to 90°, in order of falling intensity:
| d (Å) | 2theta | Rel. int. |
| --- | --- | --- |
| 2.686 | 33.36 | 100 |
| 2.414 | 37.24 | 68 |
| 2.698 | 33.21 | 49 |
| 2.390 | 37.64 | 34 |
| 1.789 | 51.06 | 29 |
| 1.423 | 65.62 | 25 |
| 1.802 | 50.65 | 15 |
| 1.430 | 65.23 | 14 |
| 1.439 | 64.79 | 14 |
| 1.761 | 51.93 | 13 |



No. 4
Starting from DFT lattice parameters and positions (GGA-PBE), the X-ray diffraction stick pattern of TmZnIn6 was simulated for CuKα.

Crystal structure
Cell: 6.7586 6.7586 4.2918 Å, 90.00 90.00 90.35°
Fractional positions:
Tm: 0.0000 0.0000 0.0000
Zn: 0.5000 0.5000 0.0000
In: 0.0000 0.5000 0.0000
In: 0.2622 0.7378 0.5000
In: 0.2643 0.2643 0.5000
In: 0.5000 0.0000 0.0000
In: 0.7357 0.7357 0.5000
In: 0.7378 0.2622 0.5000

Most intense lines, 2θ from 10° to 90°, in order of falling intensity:
| d (Å) | 2theta | Rel. int. |
| --- | --- | --- |
| 2.655 | 33.76 | 100 |
| 2.397 | 37.52 | 19 |
| 2.382 | 37.77 | 18 |
| 2.146 | 42.11 | 14 |
| 1.429 | 65.32 | 13 |
| 1.422 | 65.64 | 13 |
| 1.690 | 54.29 | 12 |
| 1.317 | 71.63 | 11 |
| 1.328 | 71.00 | 11 |
| 1.599 | 57.66 | 10 |



No. 5
Starting from DFT lattice parameters and positions (GGA-PBE), the X-ray diffraction stick pattern of Tm2ZnIn3 was simulated for CuKα.

Crystal structure
Cell: 9.6776 9.0726 5.9514 Å, 77.12 66.05 36.83°
Fractional positions:
Tm: 0.2494 0.7506 0.7506
Tm: 0.2500 0.2500 0.2500
Tm: 0.7500 0.7500 0.7500
Tm: 0.7506 0.2494 0.2494
Zn: 0.1671 0.1671 0.8329
Zn: 0.8329 0.8329 0.1671
In: 0.1564 0.6713 0.3287
In: 0.3279 0.3279 0.6721
In: 0.3287 0.8436 0.1564
In: 0.6713 0.1564 0.8436
In: 0.6721 0.6721 0.3279
In: 0.8436 0.3287 0.6713

Most intense lines, 2θ from 10° to 90°, in order of falling intensity:
| d (Å) | 2theta | Rel. int. |
| --- | --- | --- |
| 2.672 | 33.54 | 100 |
| 2.419 | 37.17 | 72 |
| 1.793 | 50.92 | 30 |
| 1.441 | 64.71 | 29 |
| 1.410 | 66.31 | 26 |
| 1.102 | 88.80 | 12 |
| 1.397 | 67.01 | 12 |
| 1.735 | 52.77 | 9 |
| 4.190 | 21.21 | 8 |
| 1.209 | 79.20 | 7 |



No. 6
Starting from DFT lattice parameters and positions (GGA-PBE), the X-ray diffraction stick pattern of TmZr4In5 was simulated for CuKα.

Crystal structure
Cell: 3.1992 3.1992 22.2170 Å, 90.00 90.00 90.00°
Fractional positions:
Tm: 0.0000 0.0000 0.0000
Zr: 0.0000 0.0000 0.2052
Zr: 0.0000 0.0000 0.4015
Zr: 0.0000 0.0000 0.5985
Zr: 0.0000 0.0000 0.7948
In: 0.5000 0.5000 0.1058
In: 0.5000 0.5000 0.3033
In: 0.5000 0.5000 0.5000
In: 0.5000 0.5000 0.6967
In: 0.5000 0.5000 0.8942

Most intense lines, 2θ from 10° to 90°, in order of falling intensity:
| d (Å) | 2theta | Rel. int. |
| --- | --- | --- |
| 2.596 | 34.55 | 100 |
| 2.262 | 39.85 | 34 |
| 1.362 | 68.95 | 25 |
| 1.585 | 58.20 | 21 |
| 2.222 | 40.61 | 15 |
| 1.344 | 70.00 | 11 |
| 1.600 | 57.62 | 11 |
| 1.298 | 72.86 | 10 |
| 1.131 | 85.93 | 4 |
| 2.773 | 32.28 | 2 |



No. 7
Starting from DFT lattice parameters and positions (GGA-PBE), the X-ray diffraction stick pattern of Tm2Zr2In7 was simulated for CuKα.

Crystal structure
Cell: 6.7496 6.7496 7.0499 Å, 90.05 90.05 79.24°
Fractional positions:
Tm: 0.1835 0.8165 0.0000
Tm: 0.8165 0.1835 0.0000
Zr: 0.2916 0.2916 0.4997
Zr: 0.7084 0.7084 0.5003
In: 0.0000 0.0000 0.5000
In: 0.0003 0.4995 0.7802
In: 0.9997 0.5005 0.2198
In: 0.4995 0.0003 0.7802
In: 0.5000 0.5000 0.2100
In: 0.5000 0.5000 0.7900
In: 0.5005 0.9997 0.2198

Most intense lines, 2θ from 10° to 90°, in order of falling intensity:
| d (Å) | 2theta | Rel. int. |
| --- | --- | --- |
| 2.415 | 37.23 | 100 |
| 3.674 | 24.23 | 58 |
| 2.600 | 34.50 | 58 |
| 3.112 | 28.68 | 41 |
| 2.375 | 37.87 | 40 |
| 2.109 | 42.88 | 32 |
| 4.184 | 21.23 | 31 |
| 2.575 | 34.84 | 29 |
| 3.315 | 26.89 | 27 |
| 1.917 | 47.42 | 21 |



No. 8
Starting from DFT lattice parameters and positions (GGA-PBE), the X-ray diffraction stick pattern of TmZr2In was simulated for CuKα.

Crystal structure
Cell: 4.5523 4.5523 4.5656 Å, 90.00 90.00 90.00°
Fractional positions:
Tm: 0.0000 0.0000 0.0000
Zr: 0.0000 0.5000 0.5000
Zr: 0.5000 0.0000 0.5000
In: 0.5000 0.5000 0.0000

Most intense lines, 2θ from 10° to 90°, in order of falling intensity:
| d (Å) | 2theta | Rel. int. |
| --- | --- | --- |
| 2.631 | 34.08 | 100 |
| 1.611 | 57.18 | 33 |
| 2.276 | 39.60 | 33 |
| 1.373 | 68.32 | 26 |
| 2.283 | 39.47 | 17 |
| 1.376 | 68.16 | 13 |
| 1.315 | 71.76 | 11 |
| 4.561 | 19.46 | 6 |
| 3.221 | 27.70 | 6 |
| 1.138 | 85.28 | 4 |